# 1
# NdHoAs2
Simulated powder XRD pattern, Cu Kα X-rays. Input: a crystal structure in Alexandria, relaxed with PBE.
Lines closer than 0.1° are merged.

Most intense lines, 2θ = 15–90°, sorted by position:
2theta  I/Imax
26.06  21
30.18  100
43.21  75
51.16  10
53.58  20
53.69  6
62.76  12
71.21  33
79.21  19
79.36  6

Structural model:
```
NdHoAs2
1.0
2.095 1.210 6.828
-2.095 1.210 6.828
0.000 -2.419 6.828
Nd Ho As
1 1 2
Cartesian
0.000 0.000 0.000 Nd
0.000 0.000 10.243 Ho
0.000 0.000 5.049 As
0.000 0.000 15.436 As
```

# 2
# Ca3Ti2Si4O14
Simulated powder XRD pattern, Cu Kα X-rays. Input: a crystal structure in Alexandria, relaxed with PBE.
Lines closer than 0.1° are merged.

Most intense lines, 2θ = 15–90°, sorted by position:
2theta  I/Imax
27.67  100
28.61  80
29.96  39
31.13  72
31.33  53
31.90  77
35.65  34
38.97  67
39.67  33
48.52  32

Structural model:
```
Ca3Ti2Si4O14
1.0
8.622 -3.890 0.000
8.622 3.890 0.000
-5.571 0.000 8.410
Ca Ti Si O
6 4 8 28
Cartesian
4.443 2.737 6.308 Ca
2.182 0.292 4.495 Ca
4.967 -0.292 0.290 Ca
6.705 0.292 8.121 Ca
9.491 -0.292 3.916 Ca
7.229 -2.737 2.103 Ca
7.229 1.511 2.103 Ti
8.622 0.000 0.000 Ti
5.836 0.000 4.205 Ti
4.443 -1.511 6.308 Ti
4.456 2.665 2.970 Si
0.864 2.261 7.129 Si
10.002 2.665 1.235 Si
8.023 2.261 5.486 Si
3.649 -2.261 2.924 Si
1.671 -2.665 7.175 Si
10.809 -2.261 1.281 Si
7.216 -2.665 5.441 Si
-0.711 1.734 6.885 O
12.383 -1.734 1.526 O
1.686 2.249 5.743 O
5.958 3.139 2.614 O
8.500 3.139 1.591 O
2.376 0.054 0.755 O
-0.410 -0.054 4.960 O
4.334 1.606 4.211 O
1.352 1.326 8.372 O
4.553 1.606 8.404 O
7.201 2.249 6.872 O
5.830 0.209 2.272 O
7.535 1.326 4.244 O
2.075 -1.734 2.679 O
3.044 -0.209 6.478 O
8.628 0.209 1.933 O
9.598 1.734 5.731 O
4.138 -1.326 4.167 O
5.843 -0.209 6.138 O
4.471 -2.249 1.538 O
7.120 -1.606 0.006 O
10.320 -1.326 0.038 O
7.338 -1.606 4.199 O
12.082 0.054 3.450 O
9.297 -0.054 7.656 O
3.172 -3.139 6.819 O
5.715 -3.139 5.797 O
9.987 -2.249 2.667 O
```